NaCaGaS3O12: theoretical powder X-ray diffraction pattern (CuKα), based on the GGA-PBE geometry in the Materials Project.
Kinematic intensities with the Lorentz-polarization factor, no thermal factor.

Atomic structure:
Lattice parameters (Å, degrees): 8.8688 8.8688 22.8601 90.00 90.00 120.00
Space group R3c (No. 161, hexagonal axes)
Inequivalent atoms, fractional coordinates:
Na 0.0000 0.0000 0.0000 [6 per cell]
Ca 0.0000 0.0000 0.3524 [6 per cell]
Ga 0.0000 0.0000 0.1490 [6 per cell]
S 0.0217 0.3067 0.2482 [18 per cell]
O 0.0428 0.2212 0.1938 [18 per cell]
O 0.1282 0.4605 0.9669 [18 per cell]
O 0.1298 0.4601 0.5766 [18 per cell]
O 0.1849 0.0390 0.5859 [18 per cell]

Most intense lines, 2θ = 15–90°, by angle:
| (hkl) | 2theta | intensity |
| --- | --- | --- |
| 1 0 4 | 19.4 | 21 |
| 1 1 0 | 20.0 | 24 |
| 1 1 3 | 23.2 | 100 |
| 0 2 4 | 28.0 | 22 |
| 1 1 6 | 30.9 | 53 |
| 2 1 1 | 31.1 | 11 |
| 3 0 0 | 35.0 | 23 |
| 2 2 6 | 47.4 | 20 |
| 2 1 10 | 50.8 | 11 |
| 4 1 0 | 54.8 | 14 |